Structure and calculated powder XRD pattern of TmPSe2S2 (a crystal structure in OQMD, relaxed with PBE; Cu Ka).
Kinematic intensities with the Lorentz-polarization factor, no thermal factor.

Top 10 peaks for 2θ = 10–90°, most intense first:
d/Å, 2theta, I/Imax
7.832, 11.30, 100
5.031, 17.63, 67
2.925, 30.57, 25
2.940, 30.40, 25
3.158, 28.26, 24
4.315, 20.58, 21
2.455, 36.60, 20
3.749, 23.73, 17
1.853, 49.18, 17
2.895, 30.89, 17

Structural model:
```
TmPSe2S2
1.0
6.5339 0.0000 0.0000
1.0348 6.6494 0.0000
0.3454 0.1190 7.8321
Tm P Se S
2 2 4 4
Cartesian
1.5742 1.3260 0.4354
6.3399 5.4423 7.3967
3.0903 5.1678 6.4016
4.8238 1.6005 1.4304
1.6124 3.4997 6.1516
3.1075 1.7696 2.7559
4.8066 4.9988 5.0762
6.3017 3.2687 1.6804
0.8271 0.1575 6.0482
3.3891 5.2207 0.5347
4.5250 1.5476 7.2973
7.0869 6.6109 1.7838
```


Structure and calculated powder XRD pattern of SmPS4 (a crystal structure in OQMD, relaxed with PBE; Cu Ka).
Kinematic intensities with the Lorentz-polarization factor, no thermal factor.

Top 10 peaks for 2θ = 10–90°, most intense first:
d/Å, 2theta, I/Imax
5.442, 16.29, 100
3.604, 24.71, 64
3.005, 29.73, 52
2.172, 41.59, 51
2.368, 37.99, 44
2.434, 36.93, 35
2.199, 41.04, 23
2.721, 32.92, 19
1.620, 56.82, 18
1.711, 53.58, 16

Structural model:
```
SmPS4
1.0
-5.4422 5.4422 9.6181
5.4422 -5.4422 9.6181
5.4422 5.4422 -9.6181
Sm P S
8 8 32
Cartesian
5.4422 2.7211 -2.4045
5.4422 -2.7211 7.2136
0.0000 2.7211 2.4045
5.4422 2.7211 2.4045
0.0000 2.7211 7.2136
5.4422 2.7211 7.2136
0.0000 8.1632 2.4045
0.0000 2.7211 12.0227
2.7211 2.3030 0.0000
0.4181 0.0000 4.8091
5.8602 0.0000 4.8091
2.7211 -2.3030 9.6181
2.7211 7.7451 0.0000
-0.4181 5.4422 4.8091
5.0241 5.4422 4.8091
2.7211 3.1392 9.6181
6.9394 -1.7420 4.7704
6.9394 3.7002 -4.7704
8.1881 2.0042 -1.7033
4.4631 1.2238 -0.0386
0.9791 1.2238 0.0386
4.7252 5.4172 -6.5124
4.7252 0.0249 3.1058
2.6962 3.4380 -1.7033
8.1383 2.0042 1.7033
4.7252 -0.0249 6.5124
4.7252 5.4671 -3.1058
6.4213 4.2183 -0.0386
4.4631 -1.2238 9.6568
2.7460 3.4380 1.7033
1.4972 1.7420 4.7704
6.9394 1.7420 4.8477
-1.4972 3.7002 4.7704
3.9449 3.7002 4.8477
2.6962 2.0042 7.9148
0.9791 6.6660 -0.0386
-0.9791 1.2238 9.6568
0.7169 -0.0249 12.7239
0.7169 5.4671 3.1058
-2.6962 3.4380 7.9148
2.7460 2.0042 11.3214
0.7169 5.4172 6.5124
0.7169 0.0249 16.1305
4.4631 4.2183 9.5795
0.9791 4.2183 9.6568
-2.7460 3.4380 11.3214
-1.4972 1.7420 14.3886
-1.4972 7.1841 4.8477
```


Structure and calculated powder XRD pattern of SrUP2S8 (a crystal structure in OQMD, relaxed with PBE; Cu Ka).
Kinematic intensities with the Lorentz-polarization factor, no thermal factor.

Top 10 peaks for 2θ = 10–90°, most intense first:
d/Å, 2theta, I/Imax
5.568, 15.92, 100
3.630, 24.52, 64
7.874, 11.24, 60
3.041, 29.37, 53
2.209, 40.85, 52
2.407, 37.36, 47
2.490, 36.07, 36
2.199, 41.04, 23
1.653, 55.62, 21
4.091, 21.73, 19

Structural model:
```
SrUP2S8
1.0
11.1359 0.0000 0.0000
0.0000 11.1359 0.0000
0.0000 0.0000 9.5746
Sr U P S
4 4 8 32
Cartesian
0.0000 5.5680 2.3936
0.0000 5.5680 7.1809
5.5680 0.0000 2.3936
5.5680 0.0000 7.1809
0.0000 0.0000 2.3936
0.0000 0.0000 7.1809
5.5680 5.5680 2.3936
5.5680 5.5680 7.1809
0.3951 2.6487 0.0000
2.6487 10.7408 4.7873
2.9193 5.1728 4.7873
5.1728 8.2166 0.0000
5.9631 2.9193 0.0000
8.2166 5.9631 4.7873
8.4872 0.3951 4.7873
10.7408 8.4872 0.0000
0.7675 8.5799 1.6956
0.7675 8.5799 7.8789
0.8805 9.6538 4.7873
1.2377 4.0658 4.7873
1.4821 0.8805 0.0000
1.5021 4.3302 0.0000
2.5560 0.7675 3.0916
2.5560 0.7675 6.4829
3.0119 6.3355 3.0916
3.0119 6.3355 6.4829
4.0658 9.8982 0.0000
4.0858 6.4484 0.0000
4.3302 9.6338 4.7873
4.6875 4.0858 4.7873
4.8004 3.0119 1.6956
4.8004 3.0119 7.8789
6.3355 8.1240 1.6956
6.3355 8.1240 7.8789
6.4484 7.0501 4.7873
6.8057 1.5021 4.7873
7.0501 4.6875 0.0000
7.0701 1.2377 0.0000
8.1240 4.8004 3.0916
8.1240 4.8004 6.4829
8.5799 10.3684 3.0916
8.5799 10.3684 6.4829
9.6338 6.8057 0.0000
9.6538 10.2554 0.0000
9.8982 7.0701 4.7873
10.2554 1.4821 4.7873
10.3684 2.5560 1.6956
10.3684 2.5560 7.8789
```


Structure and calculated powder XRD pattern of TaPS4 (a crystal structure in OQMD, relaxed with PBE; Cu Ka).
Kinematic intensities with the Lorentz-polarization factor, no thermal factor.

Top 10 peaks for 2θ = 10–90°, most intense first:
d/Å, 2theta, I/Imax
5.229, 16.96, 100
2.346, 38.38, 88
6.107, 14.50, 75
2.040, 44.42, 73
2.647, 33.86, 67
2.849, 31.40, 63
5.060, 17.53, 57
1.721, 53.23, 45
3.897, 22.82, 45
2.264, 39.82, 42

Structural model:
```
TaPS4
1.0
3.2627 0.0000 0.0000
0.0000 20.2418 0.0000
0.0000 0.0000 6.1071
Ta P S
2 2 8
Cartesian
0.0000 0.0000 0.0000
1.6313 10.1209 0.0000
0.0000 10.1209 3.2042
1.6313 0.0000 3.2042
0.0000 1.4899 4.1076
0.0000 8.5456 0.9228
0.0000 11.6962 0.9228
0.0000 18.7519 4.1076
1.6313 1.5753 0.9228
1.6313 8.6310 4.1076
1.6313 11.6108 4.1076
1.6313 18.6664 0.9228
```


Structure and calculated powder XRD pattern of TbPS4 (a crystal structure in OQMD, relaxed with PBE; Cu Ka).
Kinematic intensities with the Lorentz-polarization factor, no thermal factor.

Top 10 peaks for 2θ = 10–90°, most intense first:
d/Å, 2theta, I/Imax
5.386, 16.46, 100
3.570, 24.94, 63
2.976, 30.03, 51
2.150, 42.03, 51
2.345, 38.39, 42
2.409, 37.33, 34
2.180, 41.42, 23
2.693, 33.27, 19
1.604, 57.46, 17
1.694, 54.13, 16

Structural model:
```
TbPS4
1.0
-5.3858 5.3858 9.5350
5.3858 -5.3858 9.5350
5.3858 5.3858 -9.5350
Tb P S
8 8 32
Cartesian
5.3858 2.6929 -2.3838
5.3858 -2.6929 7.1513
0.0000 2.6929 2.3838
5.3858 2.6929 2.3838
0.0000 2.6929 7.1513
5.3858 2.6929 7.1513
0.0000 8.0787 2.3838
0.0000 2.6929 11.9188
2.6929 2.2877 0.0000
0.4052 0.0000 4.7675
5.7910 0.0000 4.7675
2.6929 -2.2877 9.5350
2.6929 7.6736 0.0000
-0.4052 5.3858 4.7675
4.9806 5.3858 4.7675
2.6929 3.0981 9.5350
6.8610 -1.7476 4.7151
6.8610 3.6382 -4.7151
8.1158 1.9786 -1.7088
4.4406 1.2177 -0.0524
0.9453 1.2177 0.0524
4.6716 5.3488 -6.4763
4.6716 0.0371 3.0587
2.6559 3.4072 -1.7088
8.0417 1.9786 1.7088
4.6716 -0.0371 6.4763
4.6716 5.4229 -3.0587
6.3311 4.1681 -0.0524
4.4406 -1.2177 9.5874
2.7300 3.4072 1.7088
1.4752 1.7476 4.7151
6.8610 1.7476 4.8199
-1.4752 3.6382 4.7151
3.9106 3.6382 4.8199
2.6559 1.9786 7.8262
0.9453 6.6036 -0.0524
-0.9453 1.2177 9.5874
0.7143 -0.0371 12.5937
0.7143 5.4229 3.0587
-2.6559 3.4072 7.8262
2.7300 1.9786 11.2438
0.7143 5.3488 6.4763
0.7143 0.0371 16.0113
4.4406 4.1681 9.4826
0.9453 4.1681 9.5874
-2.7300 3.4072 11.2438
-1.4752 1.7476 14.2501
-1.4752 7.1335 4.8199
```


Structure and calculated powder XRD pattern of ZrTlP2S7 (a crystal structure in OQMD, relaxed with PBE; Cu Ka).
Kinematic intensities with the Lorentz-polarization factor, no thermal factor.

Top 10 peaks for 2θ = 10–90°, most intense first:
d/Å, 2theta, I/Imax
4.865, 18.24, 100
3.284, 27.15, 87
4.291, 20.70, 77
3.905, 22.77, 72
2.723, 32.89, 55
2.789, 32.09, 47
1.994, 45.48, 38
2.849, 31.40, 34
2.775, 32.26, 31
3.099, 28.81, 31

Structural model:
```
ZrTlP2S7
1.0
4.4383 -4.9698 0.0000
4.4383 4.9698 0.0000
-1.0661 0.0000 6.3104
Zr Tl P S
1 1 2 7
Cartesian
0.0000 0.0000 0.0000
3.9052 -0.9667 3.1552
1.7259 1.4841 5.7340
6.0846 1.4841 0.5764
1.6531 1.7120 1.1051
2.4589 3.1451 4.7462
0.6322 0.3801 4.3991
5.3516 3.1451 1.5643
4.4383 0.1734 0.0000
6.1574 1.7120 5.2054
7.1783 0.3801 1.9113
```


Structure and calculated powder XRD pattern of Tm4PS3 (a crystal structure in OQMD, relaxed with PBE; Cu Ka).
Kinematic intensities with the Lorentz-polarization factor, no thermal factor.

Top 9 peaks for 2θ = 10–90°, most intense first:
d/Å, 2theta, I/Imax
2.732, 32.78, 100
3.155, 28.29, 87
1.932, 47.04, 72
1.647, 55.80, 42
1.222, 78.24, 32
1.115, 87.45, 25
1.577, 58.52, 25
1.254, 75.90, 17
1.366, 68.71, 12

Structural model:
```
Tm4PS3
1.0
5.4641 0.0000 0.0000
0.0000 5.4641 0.0000
0.0000 0.0000 5.4641
Tm P S
4 1 3
Cartesian
0.0000 0.0000 0.0000
0.0000 2.7321 2.7321
2.7321 0.0000 2.7321
2.7321 2.7321 0.0000
2.7321 2.7321 2.7321
0.0000 0.0000 2.7321
0.0000 2.7321 0.0000
2.7321 0.0000 0.0000
```


Structure and calculated powder XRD pattern of UP4S12 (a crystal structure in OQMD, relaxed with PBE; Cu Ka).
Kinematic intensities with the Lorentz-polarization factor, no thermal factor.

Top 10 peaks for 2θ = 10–90°, most intense first:
d/Å, 2theta, I/Imax
5.043, 17.59, 100
6.567, 13.48, 73
3.174, 28.12, 38
7.874, 11.24, 33
2.283, 39.47, 31
2.622, 34.20, 29
3.416, 26.08, 25
2.863, 31.24, 20
2.937, 30.44, 20
2.437, 36.88, 18

Structural model:
```
UP4S12
1.0
-6.5672 6.5672 4.9189
6.5672 -6.5672 4.9189
6.5672 6.5672 -4.9189
U P S
2 8 24
Cartesian
0.0000 3.2836 1.2297
6.5672 3.2836 3.6892
2.4130 3.2079 -1.2798
4.1541 -3.2079 3.6391
6.4915 0.8706 1.1797
-0.0757 0.8706 3.7392
6.6429 5.6966 1.1797
0.0757 5.6966 3.7392
2.4130 9.7751 1.2798
4.1541 3.3593 6.1987
7.4126 1.0703 -0.7427
4.3538 2.4382 -1.7168
7.6507 -4.8203 3.9779
8.7805 4.1290 -1.7168
10.7848 2.0637 0.2520
5.4837 -1.7468 3.9779
1.2199 0.9341 2.2074
5.0304 2.2001 1.5185
5.7217 5.4969 -0.7427
7.7870 0.9341 2.7114
2.3495 4.5034 0.2520
8.1039 4.3671 1.5185
-1.5368 2.2001 3.4004
4.2176 2.0637 4.6669
-1.2199 5.6331 2.2074
0.8454 1.0703 5.6615
1.5368 4.3671 3.4004
5.3473 5.6331 2.7114
1.0835 8.3140 0.9410
-4.2176 4.5034 4.6669
-2.2133 2.4382 6.6357
-1.0835 11.3875 0.9410
2.2133 4.1290 6.6357
-0.8454 5.4969 5.6615
```